Starting from a structure optimized by DFT (GGA+U), the powder diffractogram of Fe4PdF12 was computed for a wavelength of 1.5418 Å.
No peak broadening, texture or thermal motion is included.

Principal peaks in the range 10 to 90 degrees two-theta, in order of rising 2θ:
- hkl 0 0 1, 2θ 15.56, d 5.695, rel. 46
- hkl 1 1 0, 2θ 15.83, d 5.598, rel. 100
- hkl 1 1 -1, 2θ 16.15, d 5.488, rel. 67
- hkl 2 0 0, 2θ 21.81, d 4.076, rel. 43
- hkl 0 0 2, 2θ 31.42, d 2.847, rel. 42
- hkl 2 2 0, 2θ 31.94, d 2.802, rel. 78
- hkl 2 2 -2, 2θ 32.63, d 2.744, rel. 45
- hkl 4 0 0, 2θ 44.45, d 2.038, rel. 40

Structural model:
```
data_Fe4PdF12
_cell_length_a 11.1784
_cell_length_b 7.7164
_cell_length_c 7.8090
_cell_angle_alpha 90.00
_cell_angle_beta 133.18
_cell_angle_gamma 90.00
_symmetry_space_group_name_H-M 'C 1 2/m 1'
_symmetry_Int_Tables_number 12
loop_
_symmetry_equiv_pos_as_xyz
'x,y,z'
'-x,-y,-z'
'-x,y,-z'
'x,-y,z'
'x+1/2,y+1/2,z'
'-x+1/2,-y+1/2,-z'
'-x+1/2,y+1/2,-z'
'x+1/2,-y+1/2,z'
loop_
_atom_site_label
_atom_site_type_symbol
_atom_site_fract_x
_atom_site_fract_y
_atom_site_fract_z
Fe1 Fe 0.2500 0.2500 0.0000
Fe2 Fe 0.2500 0.2500 0.5000
Pd1 Pd 0.0000 0.0000 0.0000
F1 F 0.0120 0.1854 0.8265
F2 F 0.1993 0.2557 0.7138
F3 F 0.2000 0.5000 0.9673
F4 F 0.2069 0.5000 0.4417
```